1.
Theoretical X-ray diffraction stick pattern of Ba3SrSn12 for CuKα, from a cell relaxed with PBE.

a = 5.644 Å, b = 7.231 Å, c = 12.531 Å
α = 90.00°, β = 90.00°, γ = 90.00°
Atoms (fractional coordinates):
Ba  0.000  0.000  0.000
Ba  0.000  0.500  0.499
Ba  0.500  0.000  0.334
Sr  0.500  0.500  0.834
Sn  0.000  0.000  0.529
Sn  0.000  0.216  0.741
Sn  0.000  0.289  0.233
Sn  0.000  0.500  0.019
Sn  0.000  0.711  0.233
Sn  0.000  0.784  0.741
Sn  0.500  0.000  0.812
Sn  0.500  0.214  0.601
Sn  0.500  0.288  0.092
Sn  0.500  0.500  0.304
Sn  0.500  0.712  0.092
Sn  0.500  0.786  0.601

Most intense lines, 2θ from 15° to 90°, sorted by position:
two_theta  d/Å  I_rel
28.50  3.132  229
31.71  2.822  278
32.70  2.739  1000
43.15  2.097  151
57.11  1.613  208
60.84  1.522  166

=====

2.
Theoretical X-ray diffraction stick pattern of NaZn3Ag for CuKα, from a cell relaxed with PBE.

a = 3.617 Å, b = 3.617 Å, c = 7.725 Å
α = 90.00°, β = 90.00°, γ = 90.00°
Atoms (fractional coordinates):
Na  0.000  0.000  0.000
Zn  0.000  0.000  0.616
Zn  0.000  0.500  0.346
Zn  0.500  0.000  0.346
Ag  0.500  0.500  0.709

Most intense lines, 2θ from 15° to 90°, sorted by position:
two_theta  d/Å  I_rel
33.96  2.640  290
34.84  2.575  326
37.03  2.428  1000
42.39  2.132  607
50.46  1.808  323
62.79  1.480  216

=====

3.
Theoretical X-ray diffraction stick pattern of AcTb7Er2 for CuKα, from a cell relaxed with PBE.

a = 9.570 Å, b = 9.570 Å, c = 9.570 Å
α = 146.73°, β = 136.40°, γ = 55.93°
Atoms (fractional coordinates):
Ac  0.000  0.000  0.000
Tb  0.143  0.388  0.755
Tb  0.203  0.203  0.000
Tb  0.366  0.612  0.755
Tb  0.500  0.000  0.500
Tb  0.634  0.388  0.245
Tb  0.797  0.797  0.000
Tb  0.857  0.612  0.245
Er  0.301  0.801  0.500
Er  0.699  0.199  0.500

Most intense lines, 2θ from 15° to 90°, sorted by position:
two_theta  d/Å  I_rel
30.44  2.936  903
31.08  2.877  1000
32.69  2.740  462
32.93  2.720  470
47.08  1.930  355
61.31  1.512  290

=====

4.
Theoretical X-ray diffraction stick pattern of Rb2TiBiBr6 for CuKα, from a cell relaxed with PBE.

a = 8.398 Å, b = 8.398 Å, c = 8.398 Å
α = 124.69°, β = 124.69°, γ = 82.05°
Atoms (fractional coordinates):
Rb  0.250  0.750  0.500
Rb  0.750  0.250  0.500
Ti  0.000  0.000  0.000
Bi  0.500  0.500  0.000
Br  0.205  0.205  0.000
Br  0.239  0.239  0.478
Br  0.239  0.761  0.000
Br  0.761  0.239  0.000
Br  0.761  0.761  0.522
Br  0.795  0.795  0.000

Most intense lines, 2θ from 15° to 90°, sorted by position:
two_theta  d/Å  I_rel
21.37  4.158  567
26.86  3.320  594
28.17  3.168  598
32.49  2.756  1000
33.33  2.689  411
43.53  2.079  709